1.
This entry pairs a crystal structure of TcOsRu with its calculated X-ray diffraction stick pattern. Radiation: λ = 1.5418 Å (Cu Kα). Structure: DFT lattice parameters and positions (PBE).

Main lines, low angle first (15° ≤ 2θ ≤ 90°):
hkl 0 0 1, 19.9°, rel. 6
hkl 4 0 -1, 27.6°, rel. 5
hkl 1 1 0, 33.6°, rel. 3
hkl 6 0 0, 40.6°, rel. 100
hkl 2 0 2, 47.2°, rel. 49
hkl 1 1 2, 55.5°, rel. 2
hkl 7 1 1, 68.9°, rel. 21
hkl 0 2 0, 69.0°, rel. 10
hkl 8 0 2, 83.1°, rel. 12
hkl 6 2 0, 83.2°, rel. 25
hkl 2 2 2, 87.7°, rel. 8
hkl 8 0 -4, 87.8°, rel. 3

Crystal structure
a b c (Å): 14.1468 2.7235 4.7190
angles (deg): 90.00 109.35 90.00
Space group C2/m (No. 12)
Asymmetric unit:
Tc 0.0819 0.0000 0.4156 x4
Os 0.0835 0.5000 0.9177 x4
Ru 0.2495 0.0000 0.2473 x4

***

2.
This entry pairs a crystal structure of SeIBr5 with its calculated X-ray diffraction stick pattern. Radiation: λ = 1.5418 Å (Cu Kα). Structure: DFT lattice parameters and positions (PBE).

Main lines, low angle first (15° ≤ 2θ ≤ 90°):
hkl 1 1 -1, 16.2°, rel. 100
hkl 1 0 -1, 16.7°, rel. 92
hkl 1 0 2, 17.9°, rel. 76
hkl 1 2 -1, 22.7°, rel. 34
hkl 1 2 2, 25.2°, rel. 26
hkl 0 1 -3, 26.9°, rel. 61
hkl -1 1 2, 29.2°, rel. 49
hkl 2 0 3, 30.4°, rel. 27
hkl 2 3 0, 31.8°, rel. 71
hkl 1 3 -1, 32.4°, rel. 31
hkl 2 0 -2, 33.8°, rel. 53
hkl 3 -1 1, 43.7°, rel. 28

Crystal structure
a b c (Å): 8.3930 8.7675 11.1252
angles (deg): 85.77 74.33 61.51
Space group P-1 (No. 2)
Asymmetric unit:
Se 0.0582 0.2962 0.1550 x2
I 0.5000 0.0000 0.5000 x1
I 0.5000 0.5000 0.0000 x1
Br 0.0185 0.0440 0.1686 x2
Br 0.1232 0.6096 0.0792 x2
Br 0.2421 0.4898 0.7108 x2
Br 0.2559 0.2155 0.2937 x2
Br 0.4167 0.7559 0.4424 x2